CaGa6Cu6: computed powder X-ray diffraction pattern (CuKα), based on a PBE-relaxed structure.

Top 8 peaks for 10 to 90 degrees two-theta, in order of falling intensity:
| 2θ (°) | intensity |
| --- | --- |
| 45.94 | 100 |
| 41.19 | 91 |
| 40.56 | 42 |
| 40.79 | 39 |
| 42.04 | 38 |
| 46.46 | 37 |
| 41.50 | 35 |
| 35.26 | 32 |

Structural model:
a = 6.664 Å, b = 6.664 Å, c = 6.664 Å
α = 134.45°, β = 99.65°, γ = 97.59°
Atoms (fractional coordinates):
1 Ca 0.000 0.000 0.000
2 Ga 0.196 0.696 0.500
3 Ga 0.348 0.000 0.348
4 Ga 0.349 0.349 0.000
5 Ga 0.651 0.651 0.000
6 Ga 0.652 0.000 0.652
7 Ga 0.804 0.304 0.500
8 Cu 0.000 0.000 0.500
9 Cu 0.000 0.500 0.000
10 Cu 0.233 0.500 0.733
11 Cu 0.500 0.000 0.000
12 Cu 0.500 0.500 0.500
13 Cu 0.767 0.500 0.267